Calculated PXRD pattern
Compound: LiFeSiO4
Radiation: CuKα
Structure: a crystal structure in the Materials Project, relaxed with GGA+U
Intensities are scaled so that the largest is 100.

Atomic structure:
abc: 8.5550 5.2124 8.4303
angles: 90.00 107.74 90.00
Space group Pc (No. 7)
One atom of each set of equivalent atoms:
Li  0.0000  0.1645  0.0000 [2 per cell]
Li  0.5205  0.3232  0.6723 [2 per cell]
Fe  0.2701  0.3282  0.9056 [2 per cell]
Fe  0.7564  0.1727  0.2374 [2 per cell]
Si  0.3895  0.1801  0.2778 [2 per cell]
Si  0.8848  0.3230  0.6257 [2 per cell]
O  0.0492  0.2709  0.7833 [2 per cell]
O  0.2335  0.2305  0.1098 [2 per cell]
O  0.3625  0.3376  0.4363 [2 per cell]
O  0.4137  0.1274  0.8200 [2 per cell]
O  0.5496  0.3013  0.2333 [2 per cell]
O  0.7327  0.1804  0.6753 [2 per cell]
O  0.8488  0.3679  0.0969 [2 per cell]
O  0.9044  0.1847  0.4578 [2 per cell]

Most intense lines, 2θ from 10° to 80°, low angle first:
4.147 Å, intensity 100.0, hkl 1 1 -1; 4.074 Å, intensity 67.1, hkl 2 0 0; 3.263 Å, intensity 25.7, hkl 2 1 -1; 3.233 Å, intensity 72.5, hkl 1 0 2; 2.865 Å, intensity 26.8, hkl 2 1 -2; 2.606 Å, intensity 30.5, hkl 0 2 0